Simulated powder X-ray diffraction pattern
Compound: Na2FeH8S2O12
Radiation: λ = 1.5418 Å (Cu Kα)
Structure: a PBE+U-relaxed structure
Intensities are scaled so that the largest is 100.

Main lines, low angle first (2θ = 5–70°):
d_spacing	I (rel.)	hkl
4.637	51.6	0 1 2
4.600	25.3	1 1 0
4.294	39.6	1 0 -2
4.053	19.9	1 1 1
3.393	20.9	0 1 3
3.335	100.0	1 2 0
3.321	42.3	1 1 2
3.289	22.7	1 2 -1
2.673	29.8	1 0 -4
2.150	21.2	2 0 -4

Atomic structure:
```
data_Na2FeH8S2O12
_chemical_formula_sum 'Na4 Fe2 H16 S4 O24'
_symmetry_space_group_name_H-M 'P 1'
_symmetry_Int_Tables_number 1
_cell_length_a 5.5821
_cell_length_b 8.3877
_cell_length_c 11.2954
_cell_angle_alpha 90.00
_cell_angle_beta 99.79
_cell_angle_gamma 90.00
loop_
_symmetry_equiv_pos_as_xyz
'x,y,z'
loop_
_atom_site_label
_atom_site_fract_x
_atom_site_fract_y
_atom_site_fract_z
Na1 0.1176 0.0709 0.3641
Na2 0.1176 0.4291 0.8641
Na3 0.8824 0.5709 0.1359
Na4 0.8824 0.9291 0.6359
Fe1 0.0000 0.0000 0.0000
Fe2 0.0000 0.5000 0.5000
H1 0.2272 0.6329 0.3402
H2 0.2272 0.8671 0.8402
H3 0.2336 0.0558 0.8128
H4 0.2336 0.4442 0.3128
H5 0.2523 0.7278 0.0113
H6 0.2523 0.7722 0.5113
H7 0.3344 0.7029 0.6396
H8 0.3344 0.7971 0.1396
H9 0.6656 0.2029 0.8604
H10 0.6656 0.2971 0.3604
H11 0.7477 0.2278 0.4887
H12 0.7477 0.2722 0.9887
H13 0.7664 0.5558 0.6872
H14 0.7664 0.9442 0.1872
H15 0.7728 0.1329 0.1598
H16 0.7728 0.3671 0.6598
S1 0.3786 0.2133 0.6352
S2 0.3786 0.2867 0.1352
S3 0.6214 0.7133 0.8648
S4 0.6214 0.7867 0.3648
O1 0.1281 0.5336 0.3320
O2 0.1281 0.9664 0.8320
O3 0.1885 0.7165 0.5769
O4 0.1885 0.7835 0.0769
O5 0.2205 0.0847 0.5775
O6 0.2205 0.4153 0.0775
O7 0.3157 0.1307 0.0744
O8 0.3157 0.3693 0.5744
O9 0.3584 0.2259 0.7662
O10 0.3584 0.2741 0.2662
O11 0.3590 0.6792 0.8718
O12 0.3590 0.8208 0.3718
O13 0.6410 0.1792 0.6282
O14 0.6410 0.3208 0.1282
O15 0.6416 0.7259 0.7338
O16 0.6416 0.7741 0.2338
O17 0.6843 0.6307 0.4256
O18 0.6843 0.8693 0.9256
O19 0.7795 0.5847 0.9225
O20 0.7795 0.9153 0.4225
O21 0.8115 0.2165 0.9231
O22 0.8115 0.2835 0.4231
O23 0.8719 0.0336 0.1680
O24 0.8719 0.4664 0.6680
```